# DyCuPbSe2S
Computed PXRD pattern, λ = 1.5418 Å (Cu Kα). Input: DFT lattice parameters and positions (GGA-PBE).
Neutral-atom scattering factors, no anomalous dispersion.

Lattice parameters (Å, degrees): 4.0261 13.4981 10.2851 90.00 90.00 90.00
Space group Cmcm (No. 63)
Symmetry-distinct sites (fractional):
Dy 0.0000 0.0000 0.0000 x4
Cu 0.0000 0.4735 0.2500 x4
Pb 0.0000 0.2554 0.7500 x4
Se 0.0000 0.3564 0.0642 x8
S 0.0000 0.0702 0.2500 x4

Largest 12 diffraction maxima, low angle first, 2θ from 10° to 90°:
2θ/deg  intensity  (hkl)
21.7  84.5  0 2 2
24.6  32.6  1 1 1
26.4  30.5  0 4 0
29.8  47.4  1 3 0
31.0  100.0  1 3 1
34.6  73.2  1 3 2
34.9  44.5  0 0 4
35.0  72.9  1 1 3
43.9  39.7  0 6 2
44.1  34.8  1 5 2
44.3  37.9  0 4 4
45.0  40.1  2 0 0

# TmMg
Computed PXRD pattern, λ = 1.5418 Å (Cu Kα). Input: DFT lattice parameters and positions (GGA-PBE).
Neutral-atom scattering factors, no anomalous dispersion.

Lattice parameters (Å, degrees): 5.3534 6.9810 11.3601 90.00 90.00 90.00
Space group Pmmn (No. 59, origin choice 2)
Symmetry-distinct sites (fractional):
Tm 0.2500 0.0061 0.0901 x4
Tm 0.2500 0.2500 0.3503 x2
Tm 0.2500 0.2500 0.8185 x2
Mg 0.2500 0.5050 0.5870 x4
Mg 0.2500 0.7500 0.3569 x2
Mg 0.2500 0.7500 0.8268 x2

Largest 12 diffraction maxima, low angle first, 2θ from 10° to 90°:
2θ/deg  intensity  (hkl)
20.2  20.6  0 1 2
20.9  31.0  1 1 0
26.7  16.5  0 2 1
28.9  25.4  1 0 3
30.0  17.8  0 2 2
31.5  20.2  0 0 4
33.5  33.4  2 0 0
34.5  100.0  1 2 2
35.8  33.4  1 0 4
55.2  12.9  0 2 6
60.5  18.9  3 2 2
66.1  14.9  2 2 6

# Pm2Ge2O7
Computed PXRD pattern, λ = 1.5418 Å (Cu Kα). Input: DFT lattice parameters and positions (GGA-PBE).
Neutral-atom scattering factors, no anomalous dispersion.

Lattice parameters (Å, degrees): 6.7913 6.9179 6.9519 64.49 87.31 88.33
Space group P1 (No. 1)
Symmetry-distinct sites (fractional):
Pm 0.0000 0.0000 0.0000 x1
Pm 0.0594 0.5098 0.4854 x1
Pm 0.2978 0.9815 0.4891 x1
Pm 0.5725 0.4242 0.8434 x1
Ge 0.1082 0.4745 0.9714 x1
Ge 0.4662 0.8673 0.0306 x1
Ge 0.5657 0.4240 0.3474 x1
Ge 0.8014 0.9912 0.5017 x1
O 0.0156 0.6121 0.1160 x1
O 0.2495 0.6074 0.7264 x1
O 0.2537 0.2404 0.1007 x1
O 0.2870 0.9583 0.8416 x1
O 0.3424 0.3246 0.4806 x1
O 0.3423 0.7886 0.2808 x1
O 0.5613 0.6035 0.0711 x1
O 0.6152 0.8193 0.6514 x1
O 0.6572 0.0495 0.9644 x1
O 0.6628 0.2027 0.2968 x1
O 0.7113 0.4890 0.5058 x1
O 0.9197 0.3812 0.8610 x1
O 0.9694 0.8785 0.3735 x1
O 0.9730 0.1037 0.6078 x1

Largest 12 diffraction maxima, low angle first, 2θ from 10° to 90°:
2θ/deg  intensity  (hkl)
25.7  36.9  0 1 2
26.3  23.9  2 0 0
28.5  82.5  0 0 2
28.6  100.0  0 2 0
29.5  45.5  2 0 1
29.9  73.2  2 1 0
30.1  35.1  2 -1 0
30.5  37.5  0 2 2
31.0  61.8  -2 1 1
32.7  40.4  1 2 2
46.7  35.1  2 1 -2
49.3  23.4  0 2 -2

# Hf4AlPbN2
Computed PXRD pattern, λ = 1.5418 Å (Cu Kα). Input: DFT lattice parameters and positions (GGA-PBE).
Neutral-atom scattering factors, no anomalous dispersion.

Lattice parameters (Å, degrees): 3.2318 3.2318 14.6091 90.00 90.00 120.00
Space group P-6m2 (No. 187)
Symmetry-distinct sites (fractional):
Hf 0.0000 0.0000 0.1562 x2
Hf 0.6667 0.3333 0.3286 x2
Al 0.6667 0.3333 0.0000 x1
Pb 0.0000 0.0000 0.5000 x1
N 0.3333 0.6667 0.2413 x2

Largest 12 diffraction maxima, low angle first, 2θ from 10° to 90°:
2θ/deg  intensity  (hkl)
12.1  6.2  0 0 2
18.2  4.5  0 0 3
30.6  4.3  0 0 5
32.0  24.6  1 0 0
34.3  8.0  1 0 2
36.9  19.9  0 0 6
37.0  100.0  1 0 3
49.6  16.4  1 0 6
57.0  20.5  1 1 0
60.5  5.0  1 0 8
66.6  15.9  1 0 9
69.9  35.1  1 1 6

# LaNbNi2Sn2
Computed PXRD pattern, λ = 1.5418 Å (Cu Kα). Input: DFT lattice parameters and positions (GGA-PBE).
Neutral-atom scattering factors, no anomalous dispersion.

Lattice parameters (Å, degrees): 4.3911 9.0237 6.3506 90.00 90.00 90.00
Space group Pmn2_1 (No. 31)
Symmetry-distinct sites (fractional):
La 0.0000 0.1197 0.0000 x2
Nb 0.0000 0.6208 0.9981 x2
Ni 0.0000 0.3925 0.7405 x2
Ni 0.0000 0.8391 0.7718 x2
Sn 0.0000 0.1508 0.5048 x2
Sn 0.0000 0.6116 0.4868 x2

Largest 12 diffraction maxima, low angle first, 2θ from 10° to 90°:
2θ/deg  intensity  (hkl)
24.2  9.3  0 2 1
28.1  23.0  0 0 2
28.4  44.3  1 2 0
40.0  22.0  0 4 0
40.4  100.0  1 2 2
41.1  25.5  2 0 0
49.6  9.7  0 4 2
50.5  10.5  2 0 2
58.7  14.2  2 4 0
72.8  18.2  0 4 4
74.4  16.6  3 2 2
87.2  9.2  2 4 4

# U3Co
Computed PXRD pattern, λ = 1.5418 Å (Cu Kα). Input: DFT lattice parameters and positions (GGA-PBE).
Neutral-atom scattering factors, no anomalous dispersion.

Lattice parameters (Å, degrees): 6.1276 6.1276 4.4864 90.00 90.00 120.00
Space group P6_3/mmc (No. 194)
Symmetry-distinct sites (fractional):
U 0.1812 0.3623 0.2500 x6
Co 0.3333 0.6667 0.7500 x2

Largest 12 diffraction maxima, low angle first, 2θ from 10° to 90°:
2θ/deg  intensity  (hkl)
26.0  25.5  1 0 1
33.8  25.5  2 0 0
39.5  100.0  2 0 1
40.2  22.5  0 0 2
45.2  8.3  2 1 0
53.5  14.1  2 0 2
60.4  17.3  2 2 0
62.1  6.8  2 1 2
72.6  17.6  2 0 3
74.6  13.8  4 0 1
75.1  19.0  2 2 2
82.0  6.8  3 2 1

# Dy2TmLuIn2
Computed PXRD pattern, λ = 1.5418 Å (Cu Kα). Input: DFT lattice parameters and positions (GGA-PBE).
Neutral-atom scattering factors, no anomalous dispersion.

Lattice parameters (Å, degrees): 5.3329 5.3329 6.6795 90.00 90.00 120.00
Space group P-6m2 (No. 187)
Symmetry-distinct sites (fractional):
Dy 0.0000 0.0000 0.2495 x2
Tm 0.3333 0.6667 0.5000 x1
Lu 0.6667 0.3333 0.0000 x1
In 0.3333 0.6667 0.0000 x1
In 0.6667 0.3333 0.5000 x1

Largest 12 diffraction maxima, low angle first, 2θ from 10° to 90°:
2θ/deg  intensity  (hkl)
33.1  96.0  1 0 2
33.6  100.0  1 1 0
43.4  7.9  1 1 2
47.9  34.2  2 0 2
55.0  8.2  0 0 4
59.8  35.1  2 1 2
60.1  18.7  3 0 0
66.0  28.2  1 1 4
70.7  11.5  2 2 0
80.3  15.1  3 1 2
85.9  14.0  3 0 4
89.9  5.9  4 0 2

# DyOsO3
Computed PXRD pattern, λ = 1.5418 Å (Cu Kα). Input: DFT lattice parameters and positions (GGA-PBE).
Neutral-atom scattering factors, no anomalous dispersion.

Lattice parameters (Å, degrees): 5.7904 5.7904 11.9191 90.00 90.00 120.00
Space group R-3c (No. 167, hexagonal axes)
Symmetry-distinct sites (fractional):
Dy 0.0000 0.0000 0.2500 x6
Os 0.0000 0.0000 0.0000 x6
O 0.0000 0.3839 0.2500 x18

Largest 12 diffraction maxima, low angle first, 2θ from 10° to 90°:
2θ/deg  intensity  (hkl)
30.9  100.0  1 1 0
35.0  78.9  1 0 4
47.4  39.6  0 2 4
54.9  27.3  3 0 0
57.6  39.9  2 1 4
64.4  13.6  2 2 0
65.3  13.3  0 1 8
74.0  10.4  2 0 8
75.4  16.9  1 3 4
82.3  14.6  1 2 8
83.7  6.6  4 0 4
89.6  11.7  4 1 0

# Cu2Ag3
Computed PXRD pattern, λ = 1.5418 Å (Cu Kα). Input: DFT lattice parameters and positions (GGA-PBE).
Neutral-atom scattering factors, no anomalous dispersion.

Lattice parameters (Å, degrees): 2.8546 2.8546 66.4870 90.00 90.00 120.00
Space group R3m (No. 160, hexagonal axes)
Symmetry-distinct sites (fractional):
Cu 0.0000 0.0000 0.0000 x3
Cu 0.0000 0.0000 0.0938 x3
Cu 0.0000 0.0000 0.4922 x3
Cu 0.0000 0.0000 0.6950 x3
Ag 0.0000 0.0000 0.1912 x3
Ag 0.0000 0.0000 0.3007 x3
Ag 0.0000 0.0000 0.3945 x3
Ag 0.0000 0.0000 0.5974 x3
Ag 0.0000 0.0000 0.7931 x3
Ag 0.0000 0.0000 0.8943 x3

Largest 12 diffraction maxima, low angle first, 2θ from 10° to 90°:
2θ/deg  intensity  (hkl)
32.3  3.6  0 0 24
36.5  4.5  0 0 27
38.9  100.0  1 0 10
40.7  21.7  0 0 30
43.3  4.8  0 1 17
45.7  55.2  0 1 20
65.4  20.8  1 1 0
68.0  10.0  1 0 40
78.7  11.4  0 2 10
79.9  16.3  1 1 30
82.3  4.1  0 1 50
83.4  8.8  2 0 20

# InAgTeIrS2
Computed PXRD pattern, λ = 1.5418 Å (Cu Kα). Input: DFT lattice parameters and positions (GGA-PBE).
Neutral-atom scattering factors, no anomalous dispersion.

Lattice parameters (Å, degrees): 3.5508 15.3809 10.2553 90.00 90.00 90.00
Space group Cmcm (No. 63)
Symmetry-distinct sites (fractional):
In 0.0000 0.1984 0.2500 x4
Ag 0.0000 0.1559 0.7500 x4
Te 0.0000 0.4615 0.7500 x4
Ir 0.0000 0.5000 0.0000 x4
S 0.0000 0.1049 0.5152 x8

Largest 12 diffraction maxima, low angle first, 2θ from 10° to 90°:
2θ/deg  intensity  (hkl)
11.5  59.6  0 2 0
20.8  52.4  0 2 2
25.7  13.7  1 1 0
30.6  100.0  1 3 0
31.9  21.2  1 3 1
35.0  60.3  0 0 4
36.1  19.1  0 6 1
42.7  36.0  1 5 2
47.2  59.5  1 3 4
50.7  12.1  0 8 2
51.5  15.9  2 0 0
63.8  21.0  2 0 4

# KNbSb4
Computed PXRD pattern, λ = 1.5418 Å (Cu Kα). Input: DFT lattice parameters and positions (GGA-PBE).
Neutral-atom scattering factors, no anomalous dispersion.

Lattice parameters (Å, degrees): 10.0160 3.9790 10.2269 90.00 108.02 90.00
Space group Cm (No. 8)
Symmetry-distinct sites (fractional):
K 0.0000 0.0000 0.0000 x2
Nb 0.1809 0.5000 0.5801 x2
Sb 0.0142 0.0000 0.3794 x2
Sb 0.1960 0.5000 0.3016 x2
Sb 0.2231 0.0000 0.7924 x2
Sb 0.3965 0.0000 0.6093 x2

Largest 12 diffraction maxima, low angle first, 2θ from 10° to 90°:
2θ/deg  intensity  (hkl)
27.0  100.0  1 1 1
30.1  36.7  2 0 2
32.3  38.9  1 1 2
34.7  78.7  1 1 -3
35.1  50.9  3 1 -1
35.9  26.1  2 0 -4
36.2  47.5  3 1 0
36.5  48.1  4 0 -2
39.6  27.2  3 1 1
40.1  32.6  3 1 -3
45.6  35.9  0 2 0
51.5  28.7  3 1 3

# Tl2PdICl3
Computed PXRD pattern, λ = 1.5418 Å (Cu Kα). Input: DFT lattice parameters and positions (GGA-PBE).
Neutral-atom scattering factors, no anomalous dispersion.

Lattice parameters (Å, degrees): 4.3426 10.7595 10.1007 90.00 90.00 90.00
Space group Amm2 (No. 38)
Symmetry-distinct sites (fractional):
Tl 0.0000 0.2316 0.0000 x4
Pd 0.5000 0.0000 0.2495 x2
I 0.5000 0.0000 0.5072 x2
Cl 0.5000 0.0000 0.0154 x2
Cl 0.5000 0.2167 0.2492 x4

Largest 12 diffraction maxima, low angle first, 2θ from 10° to 90°:
2θ/deg  intensity  (hkl)
12.0  26.6  0 1 1
17.6  45.2  0 0 2
23.8  21.2  1 1 1
24.2  21.3  0 2 2
26.4  100.0  1 2 0
27.1  40.8  1 0 2
31.9  78.2  1 2 2
33.3  30.9  0 4 0
35.6  30.8  0 0 4
41.6  20.0  2 0 0
44.8  41.8  1 2 4
49.5  19.7  0 4 4

# K2Sb2Mo
Computed PXRD pattern, λ = 1.5418 Å (Cu Kα). Input: DFT lattice parameters and positions (GGA-PBE).
Neutral-atom scattering factors, no anomalous dispersion.

Lattice parameters (Å, degrees): 7.1092 17.0929 5.4354 90.00 90.00 90.00
Space group Cmcm (No. 63)
Symmetry-distinct sites (fractional):
K 0.0000 0.0755 0.2500 x4
K 0.0000 0.2867 0.7500 x4
Sb 0.2211 0.3900 0.2500 x8
Mo 0.0000 0.5000 0.0000 x4

Largest 12 diffraction maxima, low angle first, 2θ from 10° to 90°:
2θ/deg  intensity  (hkl)
10.4  80.1  0 2 0
13.5  57.1  1 1 0
19.4  78.4  0 2 1
25.9  28.7  1 3 1
31.9  100.0  2 2 1
32.8  63.4  2 4 0
35.6  32.3  0 6 1
39.3  36.4  0 4 2
41.9  25.1  2 0 2
46.6  17.8  3 5 0
51.4  26.9  4 0 0
61.0  18.2  2 8 2

# HgAu4
Computed PXRD pattern, λ = 1.5418 Å (Cu Kα). Input: DFT lattice parameters and positions (GGA-PBE).
Neutral-atom scattering factors, no anomalous dispersion.

Lattice parameters (Å, degrees): 7.5222 7.5222 3.4958 90.00 90.00 90.00
Space group P4/mbm (No. 127)
Symmetry-distinct sites (fractional):
Hg 0.0000 0.0000 0.0000 x2
Au 0.1372 0.3628 0.0000 x4
Au 0.1607 0.6607 0.5000 x4

Largest 12 diffraction maxima, low angle first, 2θ from 10° to 90°:
2θ/deg  intensity  (hkl)
33.7  7.2  2 2 0
35.0  15.7  2 0 1
37.1  100.0  2 1 1
37.8  52.2  3 1 0
46.2  6.7  3 1 1
51.0  6.9  3 2 1
52.3  12.9  0 0 2
56.9  10.2  4 1 1
66.4  20.6  3 1 2
69.1  6.4  5 1 1
72.9  19.4  5 2 1
88.9  9.2  2 1 3